Diffraction record for Er4Ni2HgRu. The X-ray diffraction stick pattern is computed, not measured: it uses a structure optimized by DFT (PBE) and copper Kα.

Top 10 peaks for 2θ = 10–80°, in order of falling intensity:
Position (°2θ), d/Å, I_rel
36.94, 2.433, 100
36.61, 2.454, 95
66.35, 1.409, 33
52.99, 1.728, 33
66.57, 1.405, 18
65.70, 1.421, 13
78.64, 1.217, 12
22.34, 3.979, 10
25.78, 3.456, 10
77.84, 1.227, 8

Cell and atoms:
Lattice parameters (Å, degrees): 8.5274 8.5274 8.5274 33.16 33.16 33.16
Positions (direct):
Er 0.1168 0.1168 0.1168
Er 0.3698 0.3698 0.3698
Er 0.6302 0.6302 0.6302
Er 0.8832 0.8832 0.8832
Ni 0.2535 0.2535 0.2535
Ni 0.7465 0.7465 0.7465
Hg 0.5000 0.5000 0.5000
Ru 0.0000 0.0000 0.0000